Starting from a cell relaxed with GGA-PBE, the powder diffractogram of SrCdPb2S4 was simulated for copper Kα.
Kinematic intensities with the Lorentz-polarization factor, no thermal factor.

Principal peaks in the range 10° ≤ 2θ ≤ 80°, in order of rising 2θ:
d_spacing, 2θ/deg, Rel. int., index
6.819, 13.0, 19, 0 1 1
3.409, 26.1, 100, 2 0 2
2.959, 30.2, 43, 0 0 4
2.949, 30.3, 86, 2 2 0
2.088, 43.3, 79, 0 4 0
1.779, 51.4, 35, 4 2 2
1.704, 53.8, 33, 0 4 4
1.355, 69.4, 18, 4 2 6
1.320, 71.5, 21, 2 6 0
1.204, 79.6, 21, 2 6 4

Atomic structure:
abc: 8.334 8.346 11.835
angles: 90.00 90.00 90.00
Space group Imma (No. 74)
One atom of each set of equivalent atoms:
Sr  0.250  0.250  0.250 (multiplicity 4)
Cd  0.000  0.000  0.000 (multiplicity 4)
Pb  0.000  0.000  0.500 (multiplicity 4)
Pb  0.250  0.250  0.750 (multiplicity 4)
S  0.000  0.001  0.244 (multiplicity 8)
S  0.232  0.250  0.000 (multiplicity 8)